Record 1
For Ho2ZnTe2S2O14, a structure optimized by DFT (GGA-PBE) gives the simulated powder diffractogram in this record (Cu Kα X-rays).
Kinematic intensities with the Lorentz-polarization factor, no thermal factor.

Most intense lines, 10 to 90 degrees two-theta, sorted by position:
2θ/deg, I (rel.)
13.33, 67
24.37, 83
24.60, 77
25.14, 100
26.53, 50
27.35, 39
30.20, 70
35.13, 39
35.53, 40
37.23, 40

Crystal structure
a b c (Å): 5.2820 7.8965 8.1548
angles (deg): 63.94 73.38 85.29
Element x y z (fractional)
Ho  0.0807  0.2533  0.0158
Ho  0.9193  0.7467  0.9842
Zn  0.0000  0.0000  0.5000
Te  0.4846  0.7268  0.6629
Te  0.5154  0.2732  0.3371
S  0.2405  0.7542  0.2494
S  0.7595  0.2458  0.7506
O  0.1113  0.5927  0.2509
O  0.1321  0.7685  0.4314
O  0.1777  0.9252  0.0880
O  0.2466  0.5602  0.8957
O  0.2486  0.9238  0.6686
O  0.2760  0.1948  0.2457
O  0.4696  0.2674  0.7840
O  0.5304  0.7326  0.2160
O  0.7240  0.8052  0.7543
O  0.7514  0.0762  0.3314
O  0.7534  0.4398  0.1043
O  0.8223  0.0748  0.9120
O  0.8679  0.2315  0.5686
O  0.8887  0.4073  0.7491


Record 2
For HoSb2O6, a structure optimized by DFT (GGA-PBE) gives the simulated powder diffractogram in this record (Cu Kα X-rays).
Kinematic intensities with the Lorentz-polarization factor, no thermal factor.

Most intense lines, 10 to 90 degrees two-theta, sorted by position:
2θ/deg, I (rel.)
18.94, 30
19.84, 40
22.43, 21
30.76, 19
31.94, 100
33.02, 25
38.36, 12
45.80, 35
57.66, 12
58.30, 23

Crystal structure
a b c (Å): 7.9163 5.8127 5.4253
angles (deg): 90.00 90.00 90.00
Element x y z (fractional)
Ho  0.0000  0.1641  0.0000
Ho  0.5000  0.8359  0.5000
Sb  0.2484  0.7324  0.9797
Sb  0.2516  0.2676  0.4797
Sb  0.7484  0.2676  0.4797
Sb  0.7516  0.7324  0.9797
O  0.0000  0.2786  0.6029
O  0.0000  0.7846  0.8943
O  0.1884  0.4310  0.1539
O  0.2052  0.9744  0.2573
O  0.2948  0.0256  0.7573
O  0.3116  0.5690  0.6539
O  0.5000  0.2154  0.3943
O  0.5000  0.7214  0.1029
O  0.6884  0.5690  0.6539
O  0.7052  0.0256  0.7573
O  0.7948  0.9744  0.2573
O  0.8116  0.4310  0.1539


Record 3
For Ho8Sb3O8, a structure optimized by DFT (GGA-PBE) gives the simulated powder diffractogram in this record (Cu Kα X-rays).
Kinematic intensities with the Lorentz-polarization factor, no thermal factor.

Most intense lines, 10 to 90 degrees two-theta, sorted by position:
2θ/deg, I (rel.)
30.17, 58
30.63, 54
31.85, 100
32.31, 86
42.82, 19
48.38, 20
54.36, 19
54.93, 18
58.08, 18
58.36, 17

Crystal structure
a b c (Å): 6.8915 6.8915 15.0136
angles (deg): 106.42 106.42 31.68
Element x y z (fractional)
Ho  0.0452  0.0457  0.3309
Ho  0.1434  0.1434  0.9309
Ho  0.2206  0.2198  0.5884
Ho  0.3779  0.3777  0.8475
Ho  0.6223  0.6221  0.1525
Ho  0.7802  0.7794  0.4116
Ho  0.8566  0.8566  0.0691
Ho  0.9543  0.9548  0.6691
Sb  0.3277  0.3295  0.2333
Sb  0.5470  0.4530  0.5000
Sb  0.6705  0.6723  0.7667
O  0.0302  0.0303  0.1308
O  0.2054  0.2020  0.4337
O  0.3350  0.3354  0.9860
O  0.3838  0.3820  0.7019
O  0.6180  0.6162  0.2981
O  0.6646  0.6650  0.0140
O  0.7980  0.7946  0.5663
O  0.9697  0.9698  0.8692


Record 4
For Ho2SbO2, a structure optimized by DFT (GGA-PBE) gives the simulated powder diffractogram in this record (Cu Kα X-rays).
Kinematic intensities with the Lorentz-polarization factor, no thermal factor.

Most intense lines, 10 to 90 degrees two-theta, sorted by position:
2θ/deg, I (rel.)
30.81, 100
33.04, 35
40.64, 10
47.43, 17
53.33, 24
57.63, 34
64.19, 11
67.88, 10
77.76, 7
86.95, 11

Crystal structure
a b c (Å): 3.8340 3.8340 13.3214
angles (deg): 90.00 90.00 90.00
Element x y z (fractional)
Ho  0.0000  0.0000  0.1664
Ho  0.0000  0.0000  0.8336
Ho  0.5000  0.5000  0.3336
Ho  0.5000  0.5000  0.6664
Sb  0.0000  0.0000  0.5000
Sb  0.5000  0.5000  0.0000
O  0.0000  0.5000  0.2500
O  0.0000  0.5000  0.7500
O  0.5000  0.0000  0.2500
O  0.5000  0.0000  0.7500


Record 5
For Ho3SbO3, a structure optimized by DFT (GGA-PBE) gives the simulated powder diffractogram in this record (Cu Kα X-rays).
Kinematic intensities with the Lorentz-polarization factor, no thermal factor.

Most intense lines, 10 to 90 degrees two-theta, sorted by position:
2θ/deg, I (rel.)
30.60, 54
31.12, 56
31.65, 100
32.10, 91
44.88, 16
47.17, 23
54.76, 16
55.42, 16
57.28, 18
57.61, 21

Crystal structure
a b c (Å): 6.8050 6.8050 11.6926
angles (deg): 117.02 117.02 32.89
Element x y z (fractional)
Ho  0.1209  0.1209  0.4430
Ho  0.1281  0.1281  0.9017
Ho  0.3425  0.3425  0.7925
Ho  0.6575  0.6575  0.2075
Ho  0.8719  0.8719  0.0983
Ho  0.8791  0.8791  0.5570
Sb  0.3823  0.3823  0.3196
Sb  0.6177  0.6177  0.6804
O  0.0633  0.0633  0.1914
O  0.3108  0.3108  0.5909
O  0.3354  0.3354  0.9844
O  0.6646  0.6646  0.0156
O  0.6892  0.6892  0.4091
O  0.9367  0.9367  0.8086